Entry 1:
Diffraction record for MoIrRuW. The powder XRD pattern is computed, not measured: it uses a GGA-PBE-relaxed structure and a wavelength of 1.5418 Å.

Structural model:
Lattice parameters (Å, degrees): 3.875 3.936 3.941 90.00 90.00 90.00
Space group Pmmm (No. 47)
Asymmetric unit:
Mo  0.000  0.000  0.000 (multiplicity 1)
Ir  0.500  0.000  0.500 (multiplicity 1)
Ru  0.500  0.500  0.000 (multiplicity 1)
W  0.000  0.500  0.500 (multiplicity 1)

Peak list (10 most intense, 2θ from 5° to 70°, by intensity)
- 2θ 39.9, I 100
- 2θ 46.1, I 33
- 2θ 67.9, I 21
- 2θ 46.9, I 16
- 2θ 67.2, I 11
- 2θ 22.6, I 9
- 2θ 32.4, I 8
- 2θ 57.5, I 3
- 2θ 51.9, I 2
- 2θ 52.6, I 2



Entry 2:
Diffraction record for CeHg2As2Pd7. The powder XRD pattern is computed, not measured: it uses a GGA-PBE-relaxed structure and a wavelength of 1.5418 Å.

Structural model:
Lattice parameters (Å, degrees): 4.026 4.026 29.811 90.00 90.00 90.00
Space group I4/mmm (No. 139)
Asymmetric unit:
Ce  0.000  0.000  0.000 (multiplicity 2)
Hg  0.000  0.000  0.203 (multiplicity 4)
As  0.000  0.000  0.377 (multiplicity 4)
Pd  0.000  0.000  0.296 (multiplicity 4)
Pd  0.000  0.000  0.500 (multiplicity 2)
Pd  0.000  0.500  0.073 (multiplicity 8)

Peak list (10 most intense, 2θ from 5° to 70°, by intensity)
- 2θ 45.0, I 100
- 2θ 36.4, I 100
- 2θ 44.0, I 84
- 2θ 32.0, I 67
- 2θ 30.0, I 49
- 2θ 48.6, I 48
- 2θ 31.4, I 44
- 2θ 33.7, I 43
- 2θ 26.7, I 41
- 2θ 55.0, I 36



Entry 3:
Diffraction record for La3Br3N2. The powder XRD pattern is computed, not measured: it uses a GGA-PBE-relaxed structure and a wavelength of 1.5418 Å.

Structural model:
Lattice parameters (Å, degrees): 4.083 14.975 13.815 90.00 90.00 90.00
Space group Cmcm (No. 63)
Asymmetric unit:
La  0.000  0.157  0.032 (multiplicity 8)
La  0.000  0.218  0.750 (multiplicity 4)
Br  0.000  0.129  0.250 (multiplicity 4)
Br  0.000  0.432  0.121 (multiplicity 8)
N  0.000  0.267  0.586 (multiplicity 8)

Peak list (10 most intense, 2θ from 5° to 70°, by intensity)
- 2θ 28.2, I 100
- 2θ 34.6, I 98
- 2θ 29.0, I 85
- 2θ 11.8, I 49
- 2θ 30.8, I 46
- 2θ 29.8, I 45
- 2θ 28.5, I 43
- 2θ 50.2, I 43
- 2θ 38.6, I 35
- 2θ 44.4, I 34



Entry 4:
Diffraction record for Cs2SrErF6. The powder XRD pattern is computed, not measured: it uses a GGA-PBE-relaxed structure and a wavelength of 1.5418 Å.

Structural model:
Lattice parameters (Å, degrees): 6.723 9.444 6.730 90.00 90.00 90.00
Space group Pmmn (No. 59, origin choice 2)
Asymmetric unit:
Cs  0.250  0.008  0.215 (multiplicity 4)
Sr  0.250  0.250  0.726 (multiplicity 2)
Er  0.250  0.750  0.737 (multiplicity 2)
F  0.022  0.750  0.993 (multiplicity 4)
F  0.037  0.250  0.424 (multiplicity 4)
F  0.250  0.515  0.754 (multiplicity 4)

Peak list (10 most intense, 2θ from 5° to 70°, by intensity)
- 2θ 26.6, I 100
- 2θ 26.5, I 52
- 2θ 46.8, I 40
- 2θ 37.8, I 31
- 2θ 47.0, I 21
- 2θ 54.8, I 20
- 2θ 38.1, I 18
- 2θ 61.7, I 16
- 2θ 16.2, I 13
- 2θ 62.1, I 9



Entry 5:
Diffraction record for Nd4Er3PaAs8. The powder XRD pattern is computed, not measured: it uses a GGA-PBE-relaxed structure and a wavelength of 1.5418 Å.

Structural model:
Lattice parameters (Å, degrees): 8.3379 8.3379 20.5071 90.00 90.00 120.00
Space group R-3m (No. 166, hexagonal axes)
Asymmetric unit:
Nd  0.0000  0.0000  0.0000 (multiplicity 3)
Nd  0.0000  0.5000  0.0000 (multiplicity 9)
Er  0.0000  0.5000  0.5000 (multiplicity 9)
Pa  0.0000  0.0000  0.5000 (multiplicity 3)
As  0.0000  0.0000  0.2460 (multiplicity 6)
As  0.0028  0.5014  0.2453 (multiplicity 18)

Peak list (10 most intense, 2θ from 5° to 70°, by intensity)
- 2θ 30.3, I 100
- 2θ 43.4, I 37
- 2θ 43.3, I 37
- 2θ 26.1, I 24
- 2θ 53.8, I 20
- 2θ 63.0, I 12
- 2θ 51.4, I 9
- 2θ 53.6, I 6
- 2θ 51.2, I 3
- 2θ 13.0, I 3